# 1
This entry pairs a crystal structure of Cs2Hg2H2I4Br2O with its simulated XRD peak list. Radiation: Cu Kα, 1.54184 Å. Structure: a crystal structure in OQMD, relaxed with GGA-PBE.
Kinematic intensities with the Lorentz-polarization factor, no thermal factor.

```
data_Cs2Hg2H2I4Br2O
_space_group_name_H-M_alt 'P 1 c 1'
_space_group_IT_number 7
_cell_length_a 7.535
_cell_length_b 13.775
_cell_length_c 9.011
_cell_angle_alpha 90.00
_cell_angle_beta 93.06
_cell_angle_gamma 90.00
loop_
_space_group_symop_operation_xyz
'x,y,z'
'x,-y,z+1/2'
loop_
_atom_site_label
_atom_site_type_symbol
_atom_site_fract_x
_atom_site_fract_y
_atom_site_fract_z
Cs1 Cs 0.000 0.178 0.000
Cs2 Cs 0.547 0.304 0.366
Hg1 Hg 0.092 0.143 0.506
Hg2 Hg 0.094 0.435 0.649
H1 H 0.519 0.222 0.953
H2 H 0.531 0.125 0.039
I1 I 0.313 0.036 0.332
I2 I 0.329 0.451 0.016
I3 I 0.782 0.406 0.773
I4 I 0.783 0.077 0.624
Br1 Br 0.023 0.312 0.346
Br2 Br 0.303 0.253 0.710
O1 O 0.574 0.192 0.043
```

Top 12 peaks for 15° ≤ 2θ ≤ 90°, by intensity:
2θ 24.46, I = 100, (1 1 2)
2θ 27.75, I = 84, (0 3 2)
2θ 25.03, I = 56, (1 3 1)
2θ 25.99, I = 51, (2 1 -1)
2θ 46.35, I = 37, (2 1 -4)
2θ 26.99, I = 33, (2 2 0)
2θ 23.59, I = 31, (1 0 2)
2θ 22.69, I = 31, (1 3 0)
2θ 41.80, I = 28, (3 3 -1)
2θ 44.67, I = 27, (0 5 3)
2θ 21.73, I = 25, (0 3 1)
2θ 44.89, I = 23, (2 5 -2)

# 2
This entry pairs a crystal structure of CsHf2Br9 with its simulated XRD peak list. Radiation: Cu Kα, 1.54184 Å. Structure: a crystal structure in OQMD, relaxed with GGA-PBE.
Kinematic intensities with the Lorentz-polarization factor, no thermal factor.

```
data_CsHf2Br9
_space_group_name_H-M_alt 'P 1 2/c 1'
_space_group_IT_number 13
_cell_length_a 10.059
_cell_length_b 6.753
_cell_length_c 13.105
_cell_angle_alpha 90.00
_cell_angle_beta 112.86
_cell_angle_gamma 90.00
loop_
_space_group_symop_operation_xyz
'x,y,z'
'-x,-y,-z'
'-x,y,-z+1/2'
'x,-y,z+1/2'
loop_
_atom_site_label
_atom_site_type_symbol
_atom_site_fract_x
_atom_site_fract_y
_atom_site_fract_z
Cs1 Cs 0.000 0.093 0.250
Hf1 Hf 0.324 0.246 0.632
Br1 Br 0.108 0.398 0.654
Br2 Br 0.206 0.080 0.055
Br3 Br 0.296 0.405 0.452
Br4 Br 0.413 0.092 0.843
Br5 Br 0.500 0.455 0.250
```

Top 12 peaks for 15° ≤ 2θ ≤ 90°, by intensity:
2θ 30.01, I = 100, (1 2 1)
2θ 16.22, I = 57, (1 1 -1)
2θ 30.38, I = 42, (1 1 -4)
2θ 46.67, I = 35, (2 3 -3)
2θ 15.03, I = 29, (0 1 1)
2θ 39.64, I = 25, (0 1 5)
2θ 38.97, I = 24, (4 1 -1)
2θ 39.21, I = 18, (2 2 2)
2θ 19.09, I = 18, (2 0 -2)
2θ 56.46, I = 17, (5 2 -5)
2θ 46.90, I = 16, (4 0 -6)
2θ 28.47, I = 15, (2 0 2)

# 3
This entry pairs a crystal structure of Cs2PdI2Br2 with its simulated XRD peak list. Radiation: Cu Kα, 1.54184 Å. Structure: a crystal structure in OQMD, relaxed with GGA-PBE.
Kinematic intensities with the Lorentz-polarization factor, no thermal factor.

```
data_Cs2PdI2Br2
_space_group_name_H-M_alt 'C m m m'
_space_group_IT_number 65
_space_group_name_Hall '-C 2 2'
_cell_length_a 10.609
_cell_length_b 12.165
_cell_length_c 5.033
_cell_angle_alpha 90.00
_cell_angle_beta 90.00
_cell_angle_gamma 90.00
loop_
_atom_site_label
_atom_site_type_symbol
_atom_site_fract_x
_atom_site_fract_y
_atom_site_fract_z
Cs1 Cs 0.250 0.250 0.000
Pd1 Pd 0.000 0.000 0.500
I1 I 0.250 0.000 0.500
Br1 Br 0.000 0.205 0.500
```

Top 12 peaks for 15° ≤ 2θ ≤ 90°, by intensity:
2θ 28.51, I = 100, (2 2 1)
2θ 22.93, I = 68, (0 2 1)
2θ 29.37, I = 38, (0 4 0)
2θ 33.80, I = 33, (4 0 0)
2θ 35.68, I = 29, (0 0 2)
2θ 41.24, I = 29, (4 2 1)
2θ 45.37, I = 22, (4 4 0)
2θ 49.96, I = 22, (4 0 2)
2θ 24.38, I = 20, (2 0 1)
2θ 46.86, I = 20, (0 4 2)
2θ 59.01, I = 20, (4 4 2)
2θ 17.62, I = 20, (0 0 1)

# 4
This entry pairs a crystal structure of Cs2PdI2Br2 with its simulated XRD peak list. Radiation: Cu Kα, 1.54184 Å. Structure: a crystal structure in OQMD, relaxed with GGA-PBE.
Kinematic intensities with the Lorentz-polarization factor, no thermal factor.

```
data_Cs2PdI2Br2
_space_group_name_H-M_alt 'P m m 2'
_space_group_IT_number 25
_cell_length_a 5.018
_cell_length_b 8.087
_cell_length_c 8.098
_cell_angle_alpha 90.00
_cell_angle_beta 90.00
_cell_angle_gamma 90.00
loop_
_space_group_symop_operation_xyz
'x,y,z'
'-x,-y,z'
'-x,y,z'
'x,-y,z'
loop_
_atom_site_label
_atom_site_type_symbol
_atom_site_fract_x
_atom_site_fract_y
_atom_site_fract_z
Cs1 Cs 0.000 0.000 0.000
Cs2 Cs 0.000 0.500 0.441
Pd1 Pd 0.500 0.500 0.969
I1 I 0.500 0.270 0.740
Br1 Br 0.500 0.280 0.189
```

Top 12 peaks for 15° ≤ 2θ ≤ 90°, by intensity:
2θ 28.33, I = 100, (1 2 0)
2θ 23.58, I = 77, (1 1 1)
2θ 31.26, I = 71, (0 2 2)
2θ 48.24, I = 41, (2 2 2)
2θ 20.83, I = 29, (1 0 1)
2θ 35.79, I = 28, (2 0 0)
2θ 39.53, I = 28, (1 3 1)
2θ 44.20, I = 22, (1 2 3)
2θ 44.80, I = 22, (0 4 0)
2θ 53.86, I = 21, (1 4 2)
2θ 17.67, I = 20, (1 0 0)
2θ 58.62, I = 20, (2 4 0)

# 5
This entry pairs a crystal structure of Cs2KPdBr6 with its simulated XRD peak list. Radiation: Cu Kα, 1.54184 Å. Structure: a crystal structure in OQMD, relaxed with GGA-PBE.
Kinematic intensities with the Lorentz-polarization factor, no thermal factor.

```
data_Cs2KPdBr6
_space_group_name_H-M_alt 'F m -3 m'
_space_group_IT_number 225
_space_group_name_Hall '-F 4 2 3'
_cell_length_a 11.434
_cell_length_b 11.434
_cell_length_c 11.434
_cell_angle_alpha 90.00
_cell_angle_beta 90.00
_cell_angle_gamma 90.00
loop_
_atom_site_label
_atom_site_type_symbol
_atom_site_fract_x
_atom_site_fract_y
_atom_site_fract_z
Cs1 Cs 0.250 0.250 0.250
K1 K 0.000 0.000 0.000
Pd1 Pd 0.000 0.000 0.500
Br1 Br 0.000 0.000 0.275
```

Top 12 peaks for 15° ≤ 2θ ≤ 90°, by intensity:
2θ 31.29, I = 100, (4 0 0)
2θ 27.01, I = 87, (2 2 2)
2θ 44.84, I = 67, (4 4 0)
2θ 21.99, I = 44, (2 2 0)
2θ 53.13, I = 31, (6 2 2)
2θ 74.18, I = 24, (8 4 0)
2θ 55.69, I = 22, (4 4 4)
2θ 82.69, I = 17, (8 4 4)
2θ 41.02, I = 15, (5 1 1)
2θ 38.57, I = 15, (4 2 2)
2θ 50.48, I = 13, (6 2 0)
2θ 60.60, I = 13, (6 4 2)

# 6
This entry pairs a crystal structure of CsMo3Br7 with its simulated XRD peak list. Radiation: Cu Kα, 1.54184 Å. Structure: a crystal structure in OQMD, relaxed with GGA-PBE.
Kinematic intensities with the Lorentz-polarization factor, no thermal factor.

```
data_CsMo3Br7
_space_group_name_H-M_alt 'P -3 1 c'
_space_group_IT_number 163
_space_group_name_Hall '-P 3 2c'
_cell_length_a 10.1863
_cell_length_b 10.1863
_cell_length_c 15.5399
_cell_angle_alpha 90.00
_cell_angle_beta 90.00
_cell_angle_gamma 120.00
loop_
_atom_site_label
_atom_site_type_symbol
_atom_site_fract_x
_atom_site_fract_y
_atom_site_fract_z
Cs1 Cs 0.0000 0.0000 0.0000
Cs2 Cs 0.3333 0.6667 0.2500
Mo1 Mo 0.1820 0.5171 0.8193
Br1 Br 0.0389 0.3654 0.6788
Br2 Br 0.0405 0.3480 0.4105
Br3 Br 0.3333 0.6667 0.5445
```

Top 12 peaks for 15° ≤ 2θ ≤ 90°, by intensity:
2θ 28.90, I = 100, (1 1 4)
2θ 30.41, I = 96, (3 0 0)
2θ 42.44, I = 86, (4 -2 4)
2θ 15.20, I = 63, (1 0 2)
2θ 48.28, I = 44, (3 2 3)
2θ 37.18, I = 44, (2 2 2)
2θ 41.97, I = 31, (1 0 7)
2θ 26.54, I = 26, (2 0 3)
2θ 40.79, I = 23, (3 1 3)
2θ 50.26, I = 22, (2 -1 8)
2θ 31.92, I = 22, (2 1 3)
2θ 54.05, I = 21, (3 3 0)

# 7
This entry pairs a crystal structure of Cs2TlMoBr6 with its simulated XRD peak list. Radiation: Cu Kα, 1.54184 Å. Structure: a crystal structure in OQMD, relaxed with GGA-PBE.
Kinematic intensities with the Lorentz-polarization factor, no thermal factor.

```
data_Cs2TlMoBr6
_space_group_name_H-M_alt 'F m -3 m'
_space_group_IT_number 225
_space_group_name_Hall '-F 4 2 3'
_cell_length_a 11.498
_cell_length_b 11.498
_cell_length_c 11.498
_cell_angle_alpha 90.00
_cell_angle_beta 90.00
_cell_angle_gamma 90.00
loop_
_atom_site_label
_atom_site_type_symbol
_atom_site_fract_x
_atom_site_fract_y
_atom_site_fract_z
Cs1 Cs 0.250 0.250 0.250
Tl1 Tl 0.000 0.000 0.000
Mo1 Mo 0.000 0.000 0.500
Br1 Br 0.000 0.000 0.273
```

Top 12 peaks for 15° ≤ 2θ ≤ 90°, by intensity:
2θ 31.11, I = 100, (4 0 0)
2θ 21.86, I = 76, (2 2 0)
2θ 44.58, I = 69, (4 4 0)
2θ 26.86, I = 36, (2 2 2)
2θ 38.35, I = 31, (4 2 2)
2θ 73.70, I = 27, (8 4 0)
2θ 55.36, I = 23, (4 4 4)
2θ 15.41, I = 23, (2 0 0)
2θ 60.23, I = 22, (6 4 2)
2θ 50.18, I = 21, (6 2 0)
2θ 82.13, I = 19, (8 4 4)
2θ 33.99, I = 14, (3 3 1)

# 8
This entry pairs a crystal structure of CsNb4BrO5 with its simulated XRD peak list. Radiation: Cu Kα, 1.54184 Å. Structure: a crystal structure in OQMD, relaxed with GGA-PBE.
Kinematic intensities with the Lorentz-polarization factor, no thermal factor.

```
data_CsNb4BrO5
_space_group_name_H-M_alt 'P 4/m m m'
_space_group_IT_number 123
_space_group_name_Hall '-P 4 2'
_cell_length_a 4.280
_cell_length_b 4.280
_cell_length_c 9.443
_cell_angle_alpha 90.00
_cell_angle_beta 90.00
_cell_angle_gamma 90.00
loop_
_atom_site_label
_atom_site_type_symbol
_atom_site_fract_x
_atom_site_fract_y
_atom_site_fract_z
Cs1 Cs 0.000 0.000 0.000
Nb1 Nb 0.000 0.500 0.500
Nb2 Nb 0.500 0.500 0.290
Br1 Br 0.500 0.500 0.000
O1 O 0.000 0.000 0.500
O2 O 0.000 0.500 0.279
```

Top 12 peaks for 15° ≤ 2θ ≤ 90°, by intensity:
2θ 31.03, I = 100, (1 1 1)
2θ 41.39, I = 85, (1 1 3)
2θ 42.23, I = 78, (2 0 0)
2θ 28.14, I = 57, (1 0 2)
2θ 58.19, I = 41, (2 0 4)
2θ 38.12, I = 38, (0 0 4)
2θ 76.64, I = 28, (3 1 3)
2θ 61.26, I = 24, (2 2 0)
2θ 18.79, I = 24, (0 0 2)
2θ 51.52, I = 20, (2 1 2)
2θ 74.48, I = 19, (2 2 4)
2θ 70.26, I = 18, (3 1 1)

# 9
This entry pairs a crystal structure of Cs5Nb2S4Br9 with its simulated XRD peak list. Radiation: Cu Kα, 1.54184 Å. Structure: a crystal structure in OQMD, relaxed with GGA-PBE.
Kinematic intensities with the Lorentz-polarization factor, no thermal factor.

```
data_Cs5Nb2S4Br9
_space_group_name_H-M_alt 'I m m m'
_space_group_IT_number 71
_space_group_name_Hall '-I 2 2'
_cell_length_a 7.670
_cell_length_b 11.189
_cell_length_c 16.899
_cell_angle_alpha 90.00
_cell_angle_beta 90.00
_cell_angle_gamma 90.00
loop_
_atom_site_label
_atom_site_type_symbol
_atom_site_fract_x
_atom_site_fract_y
_atom_site_fract_z
Cs1 Cs 0.000 0.000 0.000
Cs2 Cs 0.000 0.277 0.339
Nb1 Nb 0.000 0.500 0.087
S1 S 0.232 0.410 0.000
Br1 Br 0.000 0.255 0.127
Br2 Br 0.000 0.500 0.500
Br3 Br 0.241 0.500 0.205
```

Top 12 peaks for 15° ≤ 2θ ≤ 90°, by intensity:
2θ 26.44, I = 100, (0 2 4)
2θ 30.17, I = 90, (2 2 2)
2θ 36.33, I = 72, (2 1 5)
2θ 32.00, I = 66, (0 4 0)
2θ 28.21, I = 62, (2 2 0)
2θ 28.70, I = 51, (0 3 3)
2θ 23.19, I = 50, (2 0 0)
2θ 31.51, I = 49, (2 0 4)
2θ 47.41, I = 34, (4 0 0)
2θ 35.45, I = 32, (2 2 4)
2θ 39.89, I = 30, (2 4 0)
2θ 20.34, I = 28, (1 2 1)

# 10
This entry pairs a crystal structure of Cs2NiBr6 with its simulated XRD peak list. Radiation: Cu Kα, 1.54184 Å. Structure: a crystal structure in OQMD, relaxed with GGA-PBE.
Kinematic intensities with the Lorentz-polarization factor, no thermal factor.

```
data_Cs2NiBr6
_space_group_name_H-M_alt 'I 4/m'
_space_group_IT_number 87
_space_group_name_Hall '-I 4'
_cell_length_a 7.598
_cell_length_b 7.598
_cell_length_c 10.902
_cell_angle_alpha 90.00
_cell_angle_beta 90.00
_cell_angle_gamma 90.00
loop_
_atom_site_label
_atom_site_type_symbol
_atom_site_fract_x
_atom_site_fract_y
_atom_site_fract_z
Cs1 Cs 0.000 0.500 0.250
Ni1 Ni 0.000 0.000 0.000
Br1 Br 0.000 0.000 0.222
Br2 Br 0.217 0.235 0.000
```

Top 12 peaks for 15° ≤ 2θ ≤ 90°, by intensity:
2θ 28.64, I = 100, (2 0 2)
2θ 33.35, I = 47, (2 2 0)
2θ 47.52, I = 31, (2 2 4)
2θ 32.86, I = 24, (0 0 4)
2θ 56.75, I = 23, (4 2 2)
2θ 47.89, I = 15, (4 0 0)
2θ 59.30, I = 14, (4 0 4)
2θ 23.25, I = 12, (1 1 2)
2θ 56.11, I = 12, (2 0 6)
2θ 43.75, I = 8, (2 3 1)
2θ 76.81, I = 8, (4 2 6)
2θ 89.06, I = 7, (6 2 4)

# 11
This entry pairs a crystal structure of CsPaBr6 with its simulated XRD peak list. Radiation: Cu Kα, 1.54184 Å. Structure: a crystal structure in OQMD, relaxed with GGA-PBE.
Kinematic intensities with the Lorentz-polarization factor, no thermal factor.

```
data_CsPaBr6
_space_group_name_H-M_alt 'R -3 m'
_space_group_IT_number 166
_space_group_name_Hall '-R 3 2"'
_cell_length_a 7.7338
_cell_length_b 7.7338
_cell_length_c 21.1786
_cell_angle_alpha 90.00
_cell_angle_beta 90.00
_cell_angle_gamma 120.00
loop_
_atom_site_label
_atom_site_type_symbol
_atom_site_fract_x
_atom_site_fract_y
_atom_site_fract_z
Cs1 Cs 0.0000 0.0000 0.0000
Pa1 Pa 0.0000 0.0000 0.5000
Br1 Br 0.0029 0.5015 0.0921
```

Top 12 peaks for 15° ≤ 2θ ≤ 90°, by intensity:
2θ 21.39, I = 100, (1 0 4)
2θ 15.66, I = 81, (0 1 2)
2θ 27.94, I = 74, (2 0 2)
2θ 34.40, I = 73, (1 1 6)
2θ 34.13, I = 47, (2 0 5)
2θ 39.46, I = 44, (2 1 4)
2θ 47.00, I = 42, (2 2 0)
2θ 36.49, I = 34, (0 1 8)
2θ 48.23, I = 28, (3 0 6)
2θ 51.02, I = 28, (0 2 10)
2θ 26.96, I = 28, (0 2 1)
2θ 49.84, I = 23, (1 2 8)

# 12
This entry pairs a crystal structure of Cs2PdBr6 with its simulated XRD peak list. Radiation: Cu Kα, 1.54184 Å. Structure: a crystal structure in OQMD, relaxed with GGA-PBE.
Kinematic intensities with the Lorentz-polarization factor, no thermal factor.

```
data_Cs2PdBr6
_space_group_name_H-M_alt 'F m -3 m'
_space_group_IT_number 225
_space_group_name_Hall '-F 4 2 3'
_cell_length_a 10.785
_cell_length_b 10.785
_cell_length_c 10.785
_cell_angle_alpha 90.00
_cell_angle_beta 90.00
_cell_angle_gamma 90.00
loop_
_atom_site_label
_atom_site_type_symbol
_atom_site_fract_x
_atom_site_fract_y
_atom_site_fract_z
Cs1 Cs 0.250 0.250 0.250
Pd1 Pd 0.000 0.000 0.000
Br1 Br 0.000 0.000 0.233
```

Top 12 peaks for 15° ≤ 2θ ≤ 90°, by intensity:
2θ 28.67, I = 100, (2 2 2)
2θ 33.23, I = 90, (4 0 0)
2θ 47.70, I = 62, (4 4 0)
2θ 56.61, I = 39, (6 2 2)
2θ 23.33, I = 28, (2 2 0)
2θ 79.48, I = 25, (8 4 0)
2θ 59.37, I = 21, (4 4 4)
2θ 88.91, I = 19, (8 4 4)
2θ 77.09, I = 14, (6 6 2)
2θ 43.61, I = 12, (5 1 1)
2θ 41.00, I = 11, (4 2 2)
2θ 69.76, I = 9, (8 0 0)